Record 1
# Re4Ni9
Calculated powder diffractogram, copper Kα. Input: the GGA-PBE geometry in OQMD.
Intensities are scaled so that the largest is 100.

Structure:
abc: 4.6696 4.6696 24.9533
angles: 90.00 90.00 120.00
Space group R-3m (No. 166, hexagonal axes)
One atom of each set of equivalent atoms:
Re 0.0000 0.0000 0.0478
Re 0.0000 0.0000 0.3346
Ni 0.0000 0.0000 0.1517
Ni 0.0000 0.0000 0.5000
Ni 0.0025 0.5013 0.9095

Principal peaks in the range 2θ = 5–70°, by intensity:
Position (°2θ)  intensity
10.6  100
38.6  78
44.5  55
42.6  51
45.9  45
40.1  39
48.6  20
45.0  20
52.0  18
36.4  14

Record 2
# Re4Ni25
Calculated powder diffractogram, copper Kα. Input: the GGA-PBE geometry in OQMD.
Intensities are scaled so that the largest is 100.

Structure:
abc: 8.635 8.635 8.635
angles: 90.00 90.00 90.00
Space group I-43m (No. 217)
One atom of each set of equivalent atoms:
Re 0.180 0.180 0.180
Ni 0.000 0.000 0.000
Ni 0.046 0.363 0.637
Ni 0.093 0.093 0.718

Principal peaks in the range 2θ = 5–70°, by intensity:
Position (°2θ)  intensity
44.5  100
49.5  19
25.3  16
51.9  13
20.6  8
39.0  7
41.8  6
66.8  5
64.8  4
32.8  4

Record 3
# Re2Ni13
Calculated powder diffractogram, copper Kα. Input: the GGA-PBE geometry in OQMD.
Intensities are scaled so that the largest is 100.

Structure:
abc: 8.648 8.648 4.549
angles: 90.00 90.00 90.00
Space group P4_2/mnm (No. 136)
One atom of each set of equivalent atoms:
Re 0.100 0.100 0.000
Ni 0.000 0.000 0.500
Ni 0.037 0.369 0.000
Ni 0.067 0.265 0.500
Ni 0.182 0.818 0.249

Principal peaks in the range 2θ = 5–70°, by intensity:
Position (°2θ)  intensity
47.7  100
46.3  73
43.1  66
49.0  59
14.5  33
39.6  29
45.0  28
22.1  28
38.4  24
44.4  23